The following is a computed X-ray diffraction stick pattern of Np4TlS8. It was derived from DFT lattice parameters and positions (PBE), using Cu Kα, 1.54184 Å.

Structure:
a = 11.616 Å, b = 11.616 Å, c = 11.616 Å
α = 90.00°, β = 90.00°, γ = 90.00°
Space group F-43m (No. 216)
Inequivalent atoms, fractional coordinates:
1 Np 0.123 0.123 0.123 x16
2 Tl 0.000 0.000 0.500 x4
3 S 0.109 0.109 0.891 x16
4 S 0.145 0.145 0.355 x16

Top 10 peaks for 10° ≤ 2θ ≤ 90°, by angle:
d/Å, I (rel.), h k l
6.707, 627, 1 1 1
3.502, 1000, 3 1 1
3.353, 396, 2 2 2
2.904, 402, 4 0 0
2.236, 501, 5 1 1
2.054, 576, 4 4 0
1.964, 160, 5 3 1
1.751, 239, 6 2 2
1.512, 254, 5 5 3
1.186, 179, 8 4 4


The following is a computed X-ray diffraction stick pattern of Ca4ErCd5. It was derived from DFT lattice parameters and positions (PBE), using Cu Kα, 1.54184 Å.

Structure:
a = 3.800 Å, b = 3.800 Å, c = 19.123 Å
α = 90.00°, β = 90.00°, γ = 90.00°
Space group P4/mmm (No. 123)
Inequivalent atoms, fractional coordinates:
1 Ca 0.000 0.000 0.102 x2
2 Ca 0.000 0.000 0.304 x2
3 Er 0.000 0.000 0.500 x1
4 Cd 0.500 0.500 0.000 x1
5 Cd 0.500 0.500 0.203 x2
6 Cd 0.500 0.500 0.407 x2

Top 10 peaks for 10° ≤ 2θ ≤ 90°, by angle:
d/Å, I (rel.), h k l
3.800, 85, 1 0 0
2.696, 1000, 1 0 5
2.687, 505, 1 1 0
1.912, 87, 0 0 10
1.900, 176, 2 0 0
1.558, 169, 1 1 10
1.553, 350, 2 1 5
1.348, 101, 2 0 10
1.209, 64, 1 0 15
1.202, 147, 3 1 0